Starting from DFT lattice parameters and positions (PBE), the X-ray powder pattern of CeThTe4 was computed for Cu Ka.
Intensities are scaled so that the largest is 100.

Structural model:
```
data_CeThTe4
_symmetry_space_group_name_H-M 'P 4/m b m'
_symmetry_Int_Tables_number 127
_symmetry_space_group_name_Hall '-P 4 2ab'
_cell_length_a 7.0220
_cell_length_b 7.0220
_cell_length_c 7.9350
_cell_angle_alpha 90.00
_cell_angle_beta 90.00
_cell_angle_gamma 90.00
loop_
_atom_site_label
_atom_site_fract_x
_atom_site_fract_y
_atom_site_fract_z
_atom_site_occupancy
Ce1 0.0000 0.0000 0.0000 1
Th1 0.0000 0.0000 0.5000 1
Te1 0.1762 0.3238 0.2511 1
```

Most intense lines, 2θ from 10° to 90°, sorted by position:
17.86 deg, I 38, (1 1 0)
28.42 deg, I 47, (2 1 0)
28.80 deg, I 76, (1 1 2)
34.10 deg, I 100, (2 0 2)
36.18 deg, I 29, (2 2 0)
36.49 deg, I 48, (2 1 2)
40.63 deg, I 48, (3 1 0)
45.74 deg, I 19, (0 0 4)
54.73 deg, I 15, (2 1 4)
59.02 deg, I 17, (4 1 2)
60.62 deg, I 31, (3 3 2)
62.81 deg, I 27, (3 1 4)

***

Starting from DFT lattice parameters and positions (PBE), the X-ray powder pattern of CeTl4Te4 was computed for Cu Ka.
Intensities are scaled so that the largest is 100.

Structural model:
```
data_CeTl4Te4
_symmetry_space_group_name_H-M 'C 1 2/m 1'
_symmetry_Int_Tables_number 12
_symmetry_space_group_name_Hall '-C 2y'
_cell_length_a 15.6402
_cell_length_b 4.6452
_cell_length_c 10.9656
_cell_angle_alpha 90.00
_cell_angle_beta 118.48
_cell_angle_gamma 90.00
loop_
_atom_site_label
_atom_site_fract_x
_atom_site_fract_y
_atom_site_fract_z
_atom_site_occupancy
Ce1 0.0000 0.0000 0.0000 1
Tl1 0.0887 0.5000 0.4125 1
Tl2 0.2069 0.0000 0.7828 1
Te1 0.0976 0.5000 0.9183 1
Te2 0.1716 0.0000 0.2956 1
```

Most intense lines, 2θ from 10° to 90°, sorted by position:
22.96 deg, I 8, (4 0 -1)
23.49 deg, I 18, (1 1 1)
27.20 deg, I 53, (2 0 2)
27.32 deg, I 100, (3 1 -2)
38.03 deg, I 38, (5 1 0)
38.77 deg, I 22, (0 2 0)
39.27 deg, I 13, (6 0 -4)
39.81 deg, I 35, (1 1 -4)
48.00 deg, I 23, (2 2 2)
56.37 deg, I 9, (6 2 -4)
62.24 deg, I 8, (7 1 2)
63.40 deg, I 9, (3 3 -2)

***

Starting from DFT lattice parameters and positions (PBE), the X-ray powder pattern of Ce3Tl2Te6 was computed for Cu Ka.
Intensities are scaled so that the largest is 100.

Structural model:
```
data_Ce3Tl2Te6
_symmetry_space_group_name_H-M 'C 1 2/m 1'
_symmetry_Int_Tables_number 12
_symmetry_space_group_name_Hall '-C 2y'
_cell_length_a 7.8885
_cell_length_b 13.6600
_cell_length_c 8.5562
_cell_angle_alpha 90.00
_cell_angle_beta 107.87
_cell_angle_gamma 90.00
loop_
_atom_site_label
_atom_site_fract_x
_atom_site_fract_y
_atom_site_fract_z
_atom_site_occupancy
Ce1 0.0000 0.0000 0.0000 1
Ce2 0.0000 0.3336 0.0000 1
Tl1 0.0000 0.1669 0.5000 1
Te1 0.2380 0.1670 0.2152 1
Te2 0.2392 0.5000 0.2161 1
```

Most intense lines, 2θ from 10° to 90°, sorted by position:
13.46 deg, I 6, (1 1 0)
26.91 deg, I 100, (1 3 1)
37.24 deg, I 38, (2 0 2)
39.58 deg, I 38, (0 6 0)
44.50 deg, I 6, (0 0 4)
48.51 deg, I 20, (4 0 0)
55.47 deg, I 12, (4 0 -4)
61.05 deg, I 15, (0 6 4)
64.33 deg, I 17, (4 6 0)
70.27 deg, I 12, (4 6 -4)
71.81 deg, I 7, (6 0 -2)
88.54 deg, I 6, (6 0 -6)

***

Starting from DFT lattice parameters and positions (PBE), the X-ray powder pattern of Ce3Tl5Te8 was computed for Cu Ka.
Intensities are scaled so that the largest is 100.

Structural model:
```
data_Ce3Tl5Te8
_symmetry_space_group_name_H-M 'R -3 m'
_symmetry_Int_Tables_number 166
_symmetry_space_group_name_Hall '-R 3 2"'
_cell_length_a 9.2820
_cell_length_b 9.2820
_cell_length_c 23.9436
_cell_angle_alpha 90.00
_cell_angle_beta 90.00
_cell_angle_gamma 120.00
loop_
_atom_site_label
_atom_site_fract_x
_atom_site_fract_y
_atom_site_fract_z
_atom_site_occupancy
Ce1 0.0000 0.5000 0.0000 1
Tl1 0.0000 0.0000 0.0000 1
Tl2 0.0000 0.0000 0.5000 1
Tl3 0.0000 0.5000 0.5000 1
Te1 0.0000 0.0000 0.2610 1
Te2 0.0216 0.5108 0.2610 1
```

Most intense lines, 2θ from 10° to 90°, sorted by position:
26.72 deg, I 100, (0 2 4)
37.47 deg, I 37, (2 0 8)
38.81 deg, I 38, (2 2 0)
45.46 deg, I 6, (0 0 12)
47.74 deg, I 20, (4 0 4)
55.04 deg, I 12, (0 4 8)
61.27 deg, I 15, (2 2 12)
63.14 deg, I 17, (2 4 4)
69.38 deg, I 12, (4 2 8)
70.26 deg, I 6, (6 0 0)
87.75 deg, I 5, (6 0 12)
89.41 deg, I 6, (6 2 4)

***

Starting from DFT lattice parameters and positions (PBE), the X-ray powder pattern of CeTl2Te was computed for Cu Ka.
Intensities are scaled so that the largest is 100.

Structural model:
```
data_CeTl2Te
_symmetry_space_group_name_H-M 'P 4/m m m'
_symmetry_Int_Tables_number 123
_symmetry_space_group_name_Hall '-P 4 2'
_cell_length_a 4.6787
_cell_length_b 4.6787
_cell_length_c 5.2518
_cell_angle_alpha 90.00
_cell_angle_beta 90.00
_cell_angle_gamma 90.00
loop_
_atom_site_label
_atom_site_fract_x
_atom_site_fract_y
_atom_site_fract_z
_atom_site_occupancy
Ce1 0.0000 0.0000 0.0000 1
Tl1 0.0000 0.5000 0.5000 1
Te1 0.5000 0.5000 0.0000 1
```

Most intense lines, 2θ from 10° to 90°, sorted by position:
16.88 deg, I 5, (0 0 1)
31.97 deg, I 100, (1 1 1)
34.15 deg, I 21, (0 0 2)
38.48 deg, I 30, (2 0 0)
52.38 deg, I 25, (2 0 2)
55.56 deg, I 11, (2 2 0)
59.77 deg, I 17, (1 1 3)
65.55 deg, I 26, (3 1 1)
66.85 deg, I 12, (2 2 2)
82.46 deg, I 3, (4 0 0)
84.65 deg, I 6, (2 0 4)
86.04 deg, I 13, (3 1 3)

***

Starting from DFT lattice parameters and positions (PBE), the X-ray powder pattern of CeTm2Tl3Te6 was computed for Cu Ka.
Intensities are scaled so that the largest is 100.

Structural model:
```
data_CeTm2Tl3Te6
_symmetry_space_group_name_H-M 'C 1 2/m 1'
_symmetry_Int_Tables_number 12
_symmetry_space_group_name_Hall '-C 2y'
_cell_length_a 7.7517
_cell_length_b 13.4201
_cell_length_c 8.5850
_cell_angle_alpha 90.00
_cell_angle_beta 107.52
_cell_angle_gamma 90.00
loop_
_atom_site_label
_atom_site_fract_x
_atom_site_fract_y
_atom_site_fract_z
_atom_site_occupancy
Ce1 0.0000 0.0000 0.0000 1
Tm1 0.0000 0.3330 0.0000 1
Tl1 0.0000 0.1636 0.5000 1
Tl2 0.0000 0.5000 0.5000 1
Te1 0.2256 0.5000 0.2112 1
Te2 0.2438 0.1724 0.2140 1
```

Most intense lines, 2θ from 10° to 90°, sorted by position:
24.08 deg, I 5, (2 0 0)
27.21 deg, I 100, (1 3 1)
37.37 deg, I 39, (2 0 2)
40.31 deg, I 36, (3 3 -1)
44.26 deg, I 7, (0 0 4)
49.32 deg, I 19, (4 0 0)
56.14 deg, I 12, (4 0 -4)
61.40 deg, I 15, (3 3 -5)
65.39 deg, I 5, (1 3 5)
65.52 deg, I 16, (5 3 -3)
71.36 deg, I 13, (4 6 -4)
73.29 deg, I 6, (6 0 -2)

***

Starting from DFT lattice parameters and positions (PBE), the X-ray powder pattern of CeU3Tl3Te8 was computed for Cu Ka.
Intensities are scaled so that the largest is 100.

Structural model:
```
data_CeU3Tl3Te8
_symmetry_space_group_name_H-M 'R -3 m'
_symmetry_Int_Tables_number 166
_symmetry_space_group_name_Hall '-R 3 2"'
_cell_length_a 8.8723
_cell_length_b 8.8723
_cell_length_c 24.8746
_cell_angle_alpha 90.00
_cell_angle_beta 90.00
_cell_angle_gamma 120.00
loop_
_atom_site_label
_atom_site_fract_x
_atom_site_fract_y
_atom_site_fract_z
_atom_site_occupancy
Ce1 0.0000 0.0000 0.0000 1
U1 0.0000 0.5000 0.0000 1
Tl1 0.0000 0.5000 0.5000 1
Te1 0.0000 0.0000 0.2616 1
Te2 0.0082 0.5041 0.2613 1
```

Most intense lines, 2θ from 10° to 90°, sorted by position:
10.67 deg, I 9, (0 0 3)
13.55 deg, I 7, (0 1 2)
27.29 deg, I 100, (0 2 4)
37.20 deg, I 40, (2 0 8)
40.68 deg, I 36, (2 2 0)
43.67 deg, I 7, (0 0 12)
49.67 deg, I 19, (4 0 4)
56.29 deg, I 12, (0 4 8)
61.20 deg, I 16, (2 2 12)
66.08 deg, I 17, (2 4 4)
71.74 deg, I 12, (4 2 8)
74.03 deg, I 6, (6 0 0)

***

Starting from DFT lattice parameters and positions (PBE), the X-ray powder pattern of Ce2TmTe3 was computed for Cu Ka.
Intensities are scaled so that the largest is 100.

Structural model:
```
data_Ce2TmTe3
_symmetry_space_group_name_H-M 'C 1 2/m 1'
_symmetry_Int_Tables_number 12
_symmetry_space_group_name_Hall '-C 2y'
_cell_length_a 7.6304
_cell_length_b 13.2267
_cell_length_c 7.7221
_cell_angle_alpha 90.00
_cell_angle_beta 109.27
_cell_angle_gamma 90.00
loop_
_atom_site_label
_atom_site_fract_x
_atom_site_fract_y
_atom_site_fract_z
_atom_site_occupancy
Ce1 0.0000 0.0000 0.0000 1
Ce2 0.0000 0.1604 0.5000 1
Ce3 0.0000 0.5000 0.5000 1
Tm1 0.0000 0.3316 0.0000 1
Te1 0.2340 0.5000 0.2342 1
Te2 0.2477 0.3285 0.7583 1
```

Most intense lines, 2θ from 10° to 90°, sorted by position:
28.52 deg, I 100, (2 0 -2)
40.59 deg, I 38, (1 3 -3)
40.96 deg, I 37, (3 3 -1)
50.05 deg, I 7, (0 0 4)
50.67 deg, I 20, (4 0 0)
59.03 deg, I 12, (4 0 -4)
66.59 deg, I 17, (3 3 -5)
67.10 deg, I 17, (5 3 -3)
73.61 deg, I 6, (2 0 -6)
74.35 deg, I 12, (4 6 -4)
74.60 deg, I 6, (6 0 -2)
88.81 deg, I 4, (6 6 -2)

***

Starting from DFT lattice parameters and positions (PBE), the X-ray powder pattern of Ce4TmTe5 was computed for Cu Ka.
Intensities are scaled so that the largest is 100.

Structural model:
```
data_Ce4TmTe5
_symmetry_space_group_name_H-M 'I 4/m m m'
_symmetry_Int_Tables_number 139
_symmetry_space_group_name_Hall '-I 4 2'
_cell_length_a 4.4552
_cell_length_b 4.4552
_cell_length_c 31.4097
_cell_angle_alpha 90.00
_cell_angle_beta 90.00
_cell_angle_gamma 90.00
loop_
_atom_site_label
_atom_site_fract_x
_atom_site_fract_y
_atom_site_fract_z
_atom_site_occupancy
Ce1 0.0000 0.0000 0.1011 1
Ce2 0.0000 0.0000 0.3025 1
Tm1 0.0000 0.0000 0.5000 1
Te1 0.0000 0.0000 0.0000 1
Te2 0.0000 0.0000 0.2014 1
Te3 0.0000 0.0000 0.4037 1
```

Most intense lines, 2θ from 10° to 90°, sorted by position:
24.50 deg, I 1, (1 0 5)
28.36 deg, I 100, (1 1 0)
40.54 deg, I 76, (2 0 0)
50.21 deg, I 27, (2 0 10)
58.61 deg, I 9, (2 2 0)
58.80 deg, I 4, (0 0 20)
66.37 deg, I 23, (3 1 0)
66.53 deg, I 11, (1 1 20)
73.70 deg, I 17, (3 1 10)
73.83 deg, I 8, (2 0 20)
87.60 deg, I 3, (4 0 0)
87.76 deg, I 5, (2 2 20)

***

Starting from DFT lattice parameters and positions (PBE), the X-ray powder pattern of Ce3Y2TmTe6 was computed for Cu Ka.
Intensities are scaled so that the largest is 100.

Structural model:
```
data_Ce3Y2TmTe6
_symmetry_space_group_name_H-M 'C 1 2/m 1'
_symmetry_Int_Tables_number 12
_symmetry_space_group_name_Hall '-C 2y'
_cell_length_a 19.3826
_cell_length_b 4.3677
_cell_length_c 8.9413
_cell_angle_alpha 90.00
_cell_angle_beta 104.80
_cell_angle_gamma 90.00
loop_
_atom_site_label
_atom_site_fract_x
_atom_site_fract_y
_atom_site_fract_z
_atom_site_occupancy
Ce1 0.0000 0.0000 0.0000 1
Ce2 0.1680 0.5000 0.3338 1
Y1 0.1672 0.5000 0.8340 1
Tm1 0.0000 0.0000 0.5000 1
Te1 0.0019 0.5000 0.7400 1
Te2 0.1623 0.0000 0.5881 1
Te3 0.1688 0.0000 0.0773 1
```

Most intense lines, 2θ from 10° to 90°, sorted by position:
28.58 deg, I 100, (6 0 0)
40.36 deg, I 13, (2 0 -4)
40.47 deg, I 26, (7 1 -2)
41.24 deg, I 25, (5 1 2)
41.34 deg, I 12, (0 2 0)
49.55 deg, I 7, (8 0 -4)
50.85 deg, I 7, (4 0 4)
51.03 deg, I 13, (6 2 0)
59.16 deg, I 12, (2 2 -4)
66.45 deg, I 11, (8 2 -4)
67.54 deg, I 11, (4 2 4)
74.76 deg, I 8, (7 3 -2)

***

Starting from DFT lattice parameters and positions (PBE), the X-ray powder pattern of Ce2UTe4 was computed for Cu Ka.
Intensities are scaled so that the largest is 100.

Structural model:
```
data_Ce2UTe4
_symmetry_space_group_name_H-M 'I -4 2 d'
_symmetry_Int_Tables_number 122
_symmetry_space_group_name_Hall 'I -4 2bw'
_cell_length_a 9.4395
_cell_length_b 9.4395
_cell_length_c 9.4207
_cell_angle_alpha 90.00
_cell_angle_beta 90.00
_cell_angle_gamma 90.00
loop_
_atom_site_label
_atom_site_fract_x
_atom_site_fract_y
_atom_site_fract_z
_atom_site_occupancy
Ce1 0.1248 0.2500 0.1250 1
U1 0.0000 0.0000 0.5000 1
Te1 0.0754 0.1746 0.7952 1
```

Most intense lines, 2θ from 10° to 90°, sorted by position:
23.09 deg, I 14, (2 1 1)
29.96 deg, I 100, (3 0 1)
35.61 deg, I 74, (3 1 2)
42.88 deg, I 20, (4 2 0)
45.08 deg, I 14, (3 3 2)
47.20 deg, I 14, (2 2 4)
49.25 deg, I 17, (4 3 1)
60.49 deg, I 26, (6 1 1)
62.20 deg, I 8, (6 2 0)
63.96 deg, I 16, (5 4 1)
73.79 deg, I 14, (5 5 2)
89.30 deg, I 7, (7 4 3)

***

Starting from DFT lattice parameters and positions (PBE), the X-ray powder pattern of CeYTe3 was computed for Cu Ka.
Intensities are scaled so that the largest is 100.

Structural model:
```
data_CeYTe3
_symmetry_space_group_name_H-M 'P n m a'
_symmetry_Int_Tables_number 62
_symmetry_space_group_name_Hall '-P 2ac 2n'
_cell_length_a 8.3101
_cell_length_b 4.4220
_cell_length_c 17.3017
_cell_angle_alpha 90.00
_cell_angle_beta 90.00
_cell_angle_gamma 90.00
loop_
_atom_site_label
_atom_site_fract_x
_atom_site_fract_y
_atom_site_fract_z
_atom_site_occupancy
Ce1 0.1335 0.2500 0.2015 1
Y1 0.2302 0.7500 0.4575 1
Te1 0.0045 0.2500 0.3933 1
Te2 0.1198 0.7500 0.0639 1
Te3 0.1548 0.2500 0.7830 1
```

Most intense lines, 2θ from 10° to 90°, sorted by position:
25.03 deg, I 41, (1 1 2)
27.93 deg, I 35, (1 0 5)
29.82 deg, I 20, (2 0 4)
29.96 deg, I 17, (2 1 1)
30.85 deg, I 29, (1 1 4)
31.30 deg, I 100, (2 1 2)
32.74 deg, I 16, (3 0 1)
32.87 deg, I 34, (0 1 5)
34.64 deg, I 46, (1 1 5)
40.81 deg, I 42, (0 2 0)
50.17 deg, I 17, (1 2 5)
61.76 deg, I 21, (2 1 10)